Entry 1:
This entry pairs a crystal structure of NpCdPd5 with its calculated powder X-ray diffraction pattern. Radiation: Cu Kα. Structure: a DFT-relaxed cell (PBE, Alexandria).

Largest 10 diffraction maxima, sorted by position, 10° ≤ 2θ ≤ 80°:
15.4 deg, I = 25.8
24.6 deg, I = 45.7
38.6 deg, I = 100.0
38.7 deg, I = 99.5
44.5 deg, I = 66.6
45.8 deg, I = 30.8
65.8 deg, I = 41.0
77.9 deg, I = 24.9
78.2 deg, I = 25.0
79.9 deg, I = 23.7

Crystal structure
a = 5.7444 Å, b = 7.9255 Å, c = 5.7705 Å
α = 90.00°, β = 90.00°, γ = 90.00°
Fractional positions:
Np 0.0000 0.0000 0.0000
Np 0.5000 0.5000 0.0000
Cd 0.0000 0.5000 0.5000
Cd 0.5000 0.0000 0.5000
Pd 0.0000 0.5000 0.0000
Pd 0.2500 0.2500 0.2564
Pd 0.2500 0.2500 0.7436
Pd 0.2500 0.7500 0.2564
Pd 0.2500 0.7500 0.7436
Pd 0.5000 0.0000 0.0000
Pd 0.7500 0.2500 0.2564
Pd 0.7500 0.2500 0.7436
Pd 0.7500 0.7500 0.2564
Pd 0.7500 0.7500 0.7436

=====

Entry 2:
This entry pairs a crystal structure of TbAg2AsSe4 with its calculated powder X-ray diffraction pattern. Radiation: Cu Kα. Structure: a DFT-relaxed cell (PBE, Alexandria).

Largest 10 diffraction maxima, sorted by position, 10° ≤ 2θ ≤ 80°:
31.2 deg, I = 50.6
31.4 deg, I = 100.0
44.1 deg, I = 18.9
44.8 deg, I = 72.6
45.8 deg, I = 17.3
54.9 deg, I = 19.2
56.4 deg, I = 18.1
65.4 deg, I = 11.4
73.9 deg, I = 15.5
74.2 deg, I = 15.5

Crystal structure
a = 8.0976 Å, b = 8.0976 Å, c = 8.0976 Å
α = 121.39°, β = 118.98°, γ = 89.68°
Fractional positions:
Tb 0.0000 0.0000 0.0000
Tb 0.5000 0.0000 0.5000
Ag 0.0000 0.5000 0.5000
Ag 0.5000 0.0000 0.0000
Ag 0.5000 0.5000 0.0000
Ag 0.5000 0.5000 0.5000
As 0.0000 0.0000 0.5000
As 0.0000 0.5000 0.0000
Se 0.2357 0.7487 0.4869
Se 0.2382 0.2513 0.9869
Se 0.2408 0.2426 0.5018
Se 0.2408 0.7390 0.9982
Se 0.7592 0.2610 0.0018
Se 0.7592 0.7574 0.4982
Se 0.7618 0.7487 0.0131
Se 0.7643 0.2513 0.5131